Record 1
# Li2Ta2Ga2IrPd
Calculated powder X-ray diffraction pattern, Cu Kα (weighted mean of Kα1 and Kα2). Input: a crystal structure in OQMD, relaxed with PBE.
Kinematic intensities with the Lorentz-polarization factor, no thermal factor.

Structure:
```
data_Li2Ta2Ga2IrPd
_symmetry_space_group_name_H-M 'P -4 m 2'
_symmetry_Int_Tables_number 115
_cell_length_a 4.381
_cell_length_b 4.381
_cell_length_c 6.153
_cell_angle_alpha 90.00
_cell_angle_beta 90.00
_cell_angle_gamma 90.00
loop_
_symmetry_equiv_pos_as_xyz
'x,y,z'
'y,-x,-z'
'-x,-y,z'
'-y,x,-z'
'-x,y,z'
'-y,-x,-z'
'x,-y,z'
'y,x,-z'
loop_
_atom_site_label
_atom_site_type_symbol
_atom_site_fract_x
_atom_site_fract_y
_atom_site_fract_z
_atom_site_occupancy
Li1 Li 0.000 0.000 0.000 1
Li2 Li 0.500 0.500 0.500 1
Ta1 Ta 0.000 0.500 0.243 1
Ga1 Ga 0.000 0.500 0.741 1
Ir1 Ir 0.500 0.500 0.000 1
Pd1 Pd 0.000 0.000 0.500 1
```

Main lines, by angle (2θ = 10–90°):
24.95 deg, 3.569 Å, rel. 73; 41.21 deg, 2.191 Å, rel. 51; 41.36 deg, 2.183 Å, rel. 100; 48.78 deg, 1.867 Å, rel. 24; 49.04 deg, 1.857 Å, rel. 12; 59.69 deg, 1.549 Å, rel. 17; 75.21 deg, 1.263 Å, rel. 34; 75.53 deg, 1.259 Å, rel. 17

***

Record 2
# Li2Zn2Ga2IrPt
Calculated powder X-ray diffraction pattern, Cu Kα (weighted mean of Kα1 and Kα2). Input: a crystal structure in OQMD, relaxed with PBE.
Kinematic intensities with the Lorentz-polarization factor, no thermal factor.

Structure:
```
data_Li2Zn2Ga2IrPt
_symmetry_space_group_name_H-M 'P -4 m 2'
_symmetry_Int_Tables_number 115
_cell_length_a 4.302
_cell_length_b 4.302
_cell_length_c 6.077
_cell_angle_alpha 90.00
_cell_angle_beta 90.00
_cell_angle_gamma 90.00
loop_
_symmetry_equiv_pos_as_xyz
'x,y,z'
'y,-x,-z'
'-x,-y,z'
'-y,x,-z'
'-x,y,z'
'-y,-x,-z'
'x,-y,z'
'y,x,-z'
loop_
_atom_site_label
_atom_site_type_symbol
_atom_site_fract_x
_atom_site_fract_y
_atom_site_fract_z
_atom_site_occupancy
Li1 Li 0.000 0.000 0.000 1
Li2 Li 0.500 0.500 0.500 1
Zn1 Zn 0.000 0.500 0.747 1
Ga1 Ga 0.000 0.500 0.257 1
Ir1 Ir 0.000 0.000 0.500 1
Pt1 Pt 0.500 0.500 0.000 1
```

Main lines, by angle (2θ = 10–90°):
25.37 deg, 3.511 Å, rel. 74; 42.02 deg, 2.150 Å, rel. 100; 49.72 deg, 1.834 Å, rel. 37; 60.93 deg, 1.520 Å, rel. 16; 67.08 deg, 1.395 Å, rel. 15; 76.78 deg, 1.241 Å, rel. 33; 82.37 deg, 1.171 Å, rel. 9; 82.47 deg, 1.170 Å, rel. 3

***

Record 3
# Li2Zn2GaSiIr2
Calculated powder X-ray diffraction pattern, Cu Kα (weighted mean of Kα1 and Kα2). Input: a crystal structure in OQMD, relaxed with PBE.
Kinematic intensities with the Lorentz-polarization factor, no thermal factor.

Structure:
```
data_Li2Zn2GaSiIr2
_symmetry_space_group_name_H-M 'P -4 m 2'
_symmetry_Int_Tables_number 115
_cell_length_a 4.244
_cell_length_b 4.244
_cell_length_c 5.996
_cell_angle_alpha 90.00
_cell_angle_beta 90.00
_cell_angle_gamma 90.00
loop_
_symmetry_equiv_pos_as_xyz
'x,y,z'
'y,-x,-z'
'-x,-y,z'
'-y,x,-z'
'-x,y,z'
'-y,-x,-z'
'x,-y,z'
'y,x,-z'
loop_
_atom_site_label
_atom_site_type_symbol
_atom_site_fract_x
_atom_site_fract_y
_atom_site_fract_z
_atom_site_occupancy
Li1 Li 0.000 0.500 0.250 1
Zn1 Zn 0.000 0.000 0.000 1
Zn2 Zn 0.500 0.500 0.500 1
Ga1 Ga 0.000 0.000 0.500 1
Si1 Si 0.500 0.500 0.000 1
Ir1 Ir 0.000 0.500 0.767 1
```

Main lines, by angle (2θ = 10–90°):
25.72 deg, 3.464 Å, rel. 87; 29.78 deg, 3.000 Å, rel. 6; 42.62 deg, 2.121 Å, rel. 100; 50.45 deg, 1.809 Å, rel. 41; 61.85 deg, 1.500 Å, rel. 16; 68.12 deg, 1.377 Å, rel. 16; 78.02 deg, 1.225 Å, rel. 32; 83.77 deg, 1.155 Å, rel. 12

***

Record 4
# Li2ZrTaGa2Ir2
Calculated powder X-ray diffraction pattern, Cu Kα (weighted mean of Kα1 and Kα2). Input: a crystal structure in OQMD, relaxed with PBE.
Kinematic intensities with the Lorentz-polarization factor, no thermal factor.

Structure:
```
data_Li2ZrTaGa2Ir2
_symmetry_space_group_name_H-M 'P -4 m 2'
_symmetry_Int_Tables_number 115
_cell_length_a 4.406
_cell_length_b 4.406
_cell_length_c 6.229
_cell_angle_alpha 90.00
_cell_angle_beta 90.00
_cell_angle_gamma 90.00
loop_
_symmetry_equiv_pos_as_xyz
'x,y,z'
'y,-x,-z'
'-x,-y,z'
'-y,x,-z'
'-x,y,z'
'-y,-x,-z'
'x,-y,z'
'y,x,-z'
loop_
_atom_site_label
_atom_site_type_symbol
_atom_site_fract_x
_atom_site_fract_y
_atom_site_fract_z
_atom_site_occupancy
Li1 Li 0.000 0.500 0.246 1
Zr1 Zr 0.500 0.500 0.500 1
Ta1 Ta 0.000 0.000 0.000 1
Ga1 Ga 0.000 0.000 0.500 1
Ga2 Ga 0.500 0.500 0.000 1
Ir1 Ir 0.000 0.500 0.764 1
```

Main lines, by angle (2θ = 10–90°):
24.75 deg, 3.597 Å, rel. 58; 40.97 deg, 2.203 Å, rel. 100; 48.46 deg, 1.878 Å, rel. 28; 59.33 deg, 1.558 Å, rel. 17; 65.28 deg, 1.429 Å, rel. 12; 74.63 deg, 1.272 Å, rel. 33; 80.03 deg, 1.199 Å, rel. 9; 88.85 deg, 1.101 Å, rel. 11